No. 1
Diffraction record for MgCo2Bi4O12. The powder diffractogram is computed, not measured: it uses the GGA+U geometry in the Materials Project and copper Kα.
Intensities are scaled so that the largest is 1000.

Atomic structure:
```
19
Lattice="5.135 0.000 0.000 0.000 10.043 0.000 -0.004 0.000 5.137" Properties=species:S:1:pos:R:3 pbc="T T T"
Mg 0.000 0.000 0.000
Co -0.002 2.545 2.569
Co 2.568 7.504 0.000
Bi -0.002 5.752 2.569
Bi -0.002 9.001 2.569
Bi 2.568 1.050 0.000
Bi 2.568 4.298 0.000
O 0.886 0.852 1.513
O 0.979 4.106 1.589
O 1.044 7.440 1.510
O 1.504 2.613 4.091
O 1.505 9.190 4.244
O 1.586 5.944 4.157
O 3.546 5.944 0.980
O 3.626 9.190 0.893
O 3.628 2.613 1.046
O 4.088 7.440 3.627
O 4.153 4.106 3.548
O 4.245 0.852 3.624
```

Top 10 peaks for 10 to 90 degrees two-theta, sorted by position:
- d 4.573, 19.4 deg, rel. 336
- d 3.632, 24.5 deg, rel. 1000
- d 2.805, 31.9 deg, rel. 816
- d 2.568, 34.9 deg, rel. 308
- d 1.894, 48.0 deg, rel. 685
- d 1.816, 50.2 deg, rel. 190
- d 1.624, 56.7 deg, rel. 179
- d 1.524, 60.8 deg, rel. 202
- d 1.311, 72.0 deg, rel. 154
- d 1.168, 82.6 deg, rel. 132



No. 2
Diffraction record for LiVSiO4. The powder diffractogram is computed, not measured: it uses the GGA+U geometry in the Materials Project and copper Kα.
Intensities are scaled so that the largest is 1000.

Atomic structure:
```
28
Lattice="10.499 0.000 0.000 0.000 6.852 0.000 0.000 0.000 5.099" Properties=species:S:1:pos:R:3 pbc="T T T"
Li 1.569 0.026 0.000
Li 3.680 3.452 2.550
Li 6.819 3.400 0.000
Li 8.929 6.826 2.550
V 1.750 3.493 0.011
V 3.499 0.067 2.560
V 7.000 6.785 0.011
V 8.749 3.359 2.560
Si 0.995 1.786 2.578
Si 4.255 5.212 0.028
Si 6.244 1.640 2.578
Si 9.504 5.066 0.028
O 0.621 5.045 4.819
O 1.289 1.837 4.200
O 1.678 0.415 1.973
O 1.762 3.081 1.901
O 3.487 6.508 4.451
O 3.572 3.841 4.522
O 3.960 5.264 1.650
O 4.628 1.619 2.269
O 5.870 5.233 4.819
O 6.539 1.589 4.200
O 6.927 3.011 1.973
O 7.012 0.345 1.901
O 8.737 3.771 4.451
O 8.821 6.438 4.522
O 9.209 5.015 1.650
O 9.878 1.807 2.269
```

Top 10 peaks for 10 to 90 degrees two-theta, sorted by position:
- d 5.738, 15.4 deg, rel. 583
- d 4.167, 21.3 deg, rel. 676
- d 4.091, 21.7 deg, rel. 953
- d 3.812, 23.3 deg, rel. 1000
- d 3.117, 28.6 deg, rel. 409
- d 2.869, 31.2 deg, rel. 570
- d 2.625, 34.2 deg, rel. 402
- d 2.550, 35.2 deg, rel. 561
- d 2.501, 35.9 deg, rel. 563
- d 1.462, 63.6 deg, rel. 312



No. 3
Diffraction record for Li3CoRuO5. The powder diffractogram is computed, not measured: it uses the GGA+U geometry in the Materials Project and copper Kα.
Intensities are scaled so that the largest is 1000.

Atomic structure:
```
20
Lattice="2.590 -7.492 0.000 2.590 7.492 0.000 -1.694 0.000 4.839" Properties=species:S:1:pos:R:3 pbc="T T T"
Li 0.000 0.000 0.000
Li 1.743 6.018 2.419
Li 1.743 2.985 2.419
Li 1.743 0.000 2.419
Li 1.743 -2.985 2.419
Li 1.743 -6.018 2.419
Co 2.590 4.530 0.000
Co 2.590 -4.530 0.000
Ru 2.590 1.510 0.000
Ru 2.590 -1.510 0.000
O 0.060 2.921 3.708
O 0.969 1.529 1.110
O 0.110 0.000 3.710
O 0.969 -1.529 1.110
O 0.060 -2.921 3.708
O 3.425 2.921 1.131
O 2.517 1.529 3.729
O 3.375 0.000 1.129
O 2.517 -1.529 3.729
O 3.425 -2.921 1.131
```

Top 10 peaks for 10 to 90 degrees two-theta, sorted by position:
- d 4.839, 18.3 deg, rel. 1000
- d 4.647, 19.1 deg, rel. 289
- d 4.046, 22.0 deg, rel. 185
- d 2.555, 35.1 deg, rel. 331
- d 2.546, 35.2 deg, rel. 157
- d 2.441, 36.8 deg, rel. 182
- d 2.114, 42.8 deg, rel. 528
- d 2.102, 43.0 deg, rel. 282
- d 1.496, 62.0 deg, rel. 151
- d 1.485, 62.6 deg, rel. 145



No. 4
Diffraction record for BaLu2CoO5. The powder diffractogram is computed, not measured: it uses the GGA+U geometry in the Materials Project and copper Kα.
Intensities are scaled so that the largest is 1000.

Atomic structure:
```
36
Lattice="12.161 0.000 0.000 0.000 5.671 0.000 0.000 0.000 7.007" Properties=species:S:1:pos:R:3 pbc="T T T"
Ba 1.229 1.418 0.564
Ba 4.852 4.253 4.067
Ba 7.309 1.418 2.940
Ba 10.932 4.253 6.443
Lu 0.904 4.253 2.819
Lu 2.535 1.418 4.348
Lu 3.545 4.253 0.844
Lu 5.176 1.418 6.323
Lu 6.985 4.253 0.684
Lu 8.616 1.418 6.163
Lu 9.626 4.253 2.659
Lu 11.257 1.418 4.188
Co 1.851 4.253 5.666
Co 4.230 1.418 2.162
Co 7.931 4.253 4.845
Co 10.311 1.418 1.341
O 0.801 2.839 4.647
O 0.801 5.667 4.647
O 1.263 4.253 0.574
O 2.733 2.843 2.558
O 2.733 5.663 2.558
O 3.347 0.008 6.062
O 3.347 2.827 6.062
O 4.817 1.418 4.077
O 5.280 0.003 1.144
O 5.280 2.832 1.144
O 6.881 2.839 5.863
O 6.881 5.667 5.863
O 7.344 4.253 2.930
O 8.814 2.843 0.946
O 8.814 5.663 0.946
O 9.428 0.008 4.449
O 9.428 2.827 4.449
O 10.898 1.418 6.433
O 11.360 0.003 2.360
O 11.360 2.832 2.360
```

Top 10 peaks for 10 to 90 degrees two-theta, sorted by position:
- d 2.984, 29.9 deg, rel. 1000
- d 2.895, 30.9 deg, rel. 784
- d 2.835, 31.6 deg, rel. 518
- d 2.789, 32.1 deg, rel. 221
- d 2.679, 33.4 deg, rel. 190
- d 1.988, 45.6 deg, rel. 308
- d 1.936, 46.9 deg, rel. 154
- d 1.664, 55.2 deg, rel. 184
- d 1.648, 55.8 deg, rel. 181
- d 1.551, 59.6 deg, rel. 173



No. 5
Diffraction record for Dy2MnGe4O12. The powder diffractogram is computed, not measured: it uses the GGA+U geometry in the Materials Project and copper Kα.
Intensities are scaled so that the largest is 1000.

Atomic structure:
```
38
Lattice="7.051 -7.133 0.000 7.051 7.133 0.000 0.000 0.000 5.034" Properties=species:S:1:pos:R:3 pbc="T T T"
Dy 3.526 3.566 0.000
Dy 3.526 0.000 0.000
Dy 3.526 -3.566 0.000
Dy 10.577 0.000 0.000
Mn 0.000 0.000 0.000
Mn 7.051 0.000 0.000
Ge 5.463 5.221 2.539
Ge 8.639 5.221 2.539
Ge 5.463 1.912 2.539
Ge 8.639 1.912 2.539
Ge 5.463 -1.912 2.495
Ge 8.639 -1.912 2.495
Ge 5.463 -5.221 2.495
Ge 8.639 -5.221 2.495
O 1.636 0.749 1.202
O 2.767 1.900 3.785
O 5.317 3.566 3.362
O 7.051 5.270 1.677
O 1.636 -0.749 3.831
O 4.284 1.900 1.249
O 2.767 -1.900 1.249
O 5.416 0.749 3.831
O 7.051 1.863 1.677
O 8.786 3.566 3.362
O 4.284 -1.900 3.785
O 5.416 -0.749 1.202
O 8.687 0.749 3.831
O 9.819 1.900 1.249
O 5.317 -3.566 1.671
O 7.051 -1.863 3.356
O 8.687 -0.749 1.202
O 11.336 1.900 3.785
O 9.819 -1.900 3.785
O 12.467 0.749 1.202
O 7.051 -5.270 3.356
O 8.786 -3.566 1.671
O 11.336 -1.900 1.249
O 12.467 -0.749 3.831
```

Top 10 peaks for 10 to 90 degrees two-theta, sorted by position:
- d 7.051, 12.6 deg, rel. 458
- d 4.099, 21.7 deg, rel. 639
- d 3.183, 28.0 deg, rel. 230
- d 2.910, 30.7 deg, rel. 1000
- d 2.888, 31.0 deg, rel. 945
- d 2.517, 35.7 deg, rel. 195
- d 2.507, 35.8 deg, rel. 462
- d 1.776, 51.4 deg, rel. 523
- d 1.518, 61.1 deg, rel. 386
- d 1.508, 61.5 deg, rel. 228



No. 6
Diffraction record for CsTbMo2O8. The powder diffractogram is computed, not measured: it uses the GGA+U geometry in the Materials Project and copper Kα.
Intensities are scaled so that the largest is 1000.

Atomic structure:
```
24
Lattice="5.461 -5.328 0.000 5.461 5.328 0.000 -5.135 0.000 5.919" Properties=species:S:1:pos:R:3 pbc="T T T"
Cs 1.611 3.240 4.439
Cs 4.178 -3.240 1.480
Tb 4.178 2.890 1.480
Tb 1.611 -2.890 4.439
Mo 1.978 0.012 1.577
Mo -0.590 -0.012 4.537
Mo 6.378 0.012 1.382
Mo 3.811 -0.012 4.342
O -2.134 0.859 4.152
O 1.815 1.654 0.728
O 0.434 -0.859 1.193
O 0.500 0.764 3.364
O 5.042 1.141 0.200
O -0.753 -1.654 3.688
O 3.067 -0.764 0.405
O 3.314 1.141 2.760
O 2.475 -1.141 3.159
O 2.721 0.764 5.514
O 6.541 1.654 2.231
O 0.746 -1.141 5.719
O 5.288 -0.764 2.554
O 5.355 0.859 4.726
O 3.974 -1.654 5.191
O 7.922 -0.859 1.767
```

Top 10 peaks for 10 to 90 degrees two-theta, sorted by position:
- d 3.262, 27.3 deg, rel. 1000
- d 3.149, 28.3 deg, rel. 620
- d 2.959, 30.2 deg, rel. 309
- d 2.727, 32.8 deg, rel. 115
- d 2.664, 33.6 deg, rel. 186
- d 2.428, 37.0 deg, rel. 101
- d 1.980, 45.8 deg, rel. 131
- d 1.953, 46.5 deg, rel. 158
- d 1.809, 50.4 deg, rel. 106
- d 1.725, 53.1 deg, rel. 135



No. 7
Diffraction record for Mn5O7. The powder diffractogram is computed, not measured: it uses the GGA+U geometry in the Materials Project and copper Kα.
Intensities are scaled so that the largest is 1000.

Atomic structure:
```
24
Lattice="1.520 -5.155 0.000 1.520 5.155 0.000 0.000 0.000 18.825" Properties=species:S:1:pos:R:3 pbc="T T T"
Mn 0.000 0.000 0.000
Mn 0.000 0.000 9.412
Mn 1.520 2.393 10.846
Mn 1.520 2.393 17.391
Mn 1.520 0.292 2.976
Mn 1.520 0.292 6.436
Mn 1.520 -0.292 12.389
Mn 1.520 -0.292 15.849
Mn 1.520 -2.393 1.433
Mn 1.520 -2.393 7.979
O 1.520 4.198 1.979
O 1.520 4.198 7.434
O 1.520 3.626 12.355
O 1.520 3.626 15.882
O 1.520 1.471 0.485
O 1.520 1.471 8.928
O 1.520 0.393 14.119
O 1.520 -0.393 4.706
O 1.520 -1.471 9.897
O 1.520 -1.471 18.340
O 1.520 -3.626 2.943
O 1.520 -3.626 6.470
O 1.520 -4.198 11.391
O 1.520 -4.198 16.846
```

Top 10 peaks for 10 to 90 degrees two-theta, sorted by position:
- d 4.521, 19.6 deg, rel. 340
- d 2.785, 32.1 deg, rel. 353
- d 2.680, 33.4 deg, rel. 1000
- d 2.644, 33.9 deg, rel. 241
- d 2.577, 34.8 deg, rel. 259
- d 2.213, 40.8 deg, rel. 615
- d 2.140, 42.2 deg, rel. 723
- d 2.050, 44.2 deg, rel. 367
- d 1.554, 59.5 deg, rel. 294
- d 1.322, 71.3 deg, rel. 267



No. 8
Diffraction record for AlCoF5. The powder diffractogram is computed, not measured: it uses the GGA+U geometry in the Materials Project and copper Kα.
Intensities are scaled so that the largest is 1000.

Atomic structure:
```
14
Lattice="3.566 0.000 0.000 0.000 6.314 0.000 0.000 0.000 7.516" Properties=species:S:1:pos:R:3 pbc="T T T"
Al 0.000 0.000 0.000
Al 1.783 3.157 3.758
Co 0.000 0.000 3.758
Co 1.783 3.157 0.000
F 0.000 0.000 1.809
F 0.000 0.000 5.707
F 0.000 1.856 0.000
F 0.000 3.157 3.758
F 0.000 4.457 0.000
F 1.783 0.000 0.000
F 1.783 1.301 3.758
F 1.783 3.157 1.949
F 1.783 3.157 5.567
F 1.783 5.013 3.758
```

Top 10 peaks for 10 to 90 degrees two-theta, sorted by position:
- d 3.758, 23.7 deg, rel. 1000
- d 3.157, 28.3 deg, rel. 695
- d 3.105, 28.8 deg, rel. 964
- d 2.255, 40.0 deg, rel. 572
- d 1.879, 48.4 deg, rel. 357
- d 1.812, 50.3 deg, rel. 351
- d 1.783, 51.2 deg, rel. 297
- d 1.719, 53.3 deg, rel. 257
- d 1.608, 57.3 deg, rel. 238
- d 1.304, 72.5 deg, rel. 199



What did the first record say?
Diffraction record for MgCo2Bi4O12. The powder diffractogram is computed, not measured: it uses the GGA+U geometry in the Materials Project and copper Kα.
Intensities are scaled so that the largest is 1000.

Atomic structure:
```
19
Lattice="5.135 0.000 0.000 0.000 10.043 0.000 -0.004 0.000 5.137" Properties=species:S:1:pos:R:3 pbc="T T T"
Mg 0.000 0.000 0.000
Co -0.002 2.545 2.569
Co 2.568 7.504 0.000
Bi -0.002 5.752 2.569
Bi -0.002 9.001 2.569
Bi 2.568 1.050 0.000
Bi 2.568 4.298 0.000
O 0.886 0.852 1.513
O 0.979 4.106 1.589
O 1.044 7.440 1.510
O 1.504 2.613 4.091
O 1.505 9.190 4.244
O 1.586 5.944 4.157
O 3.546 5.944 0.980
O 3.626 9.190 0.893
O 3.628 2.613 1.046
O 4.088 7.440 3.627
O 4.153 4.106 3.548
O 4.245 0.852 3.624
```

Top 10 peaks for 10 to 90 degrees two-theta, sorted by position:
- d 4.573, 19.4 deg, rel. 336
- d 3.632, 24.5 deg, rel. 1000
- d 2.805, 31.9 deg, rel. 816
- d 2.568, 34.9 deg, rel. 308
- d 1.894, 48.0 deg, rel. 685
- d 1.816, 50.2 deg, rel. 190
- d 1.624, 56.7 deg, rel. 179
- d 1.524, 60.8 deg, rel. 202
- d 1.311, 72.0 deg, rel. 154
- d 1.168, 82.6 deg, rel. 132